No. 1
This entry pairs a crystal structure of Rb3SbF6 with its theoretical powder diffraction line list. Radiation: a wavelength of 1.5418 Å. Structure: a cell relaxed with PBE.

Structural model:
Lattice parameters (Å, degrees): 7.2554 7.2772 7.3458 100.57 107.10 100.76
Space group P-1 (No. 2)
Inequivalent atoms, fractional coordinates:
Rb: 0.0000 0.0000 0.0000 [1 per cell]
Rb: 0.0000 0.5000 0.5000 [1 per cell]
Rb: 0.5000 0.0000 0.5000 [1 per cell]
Sb: 0.0000 0.0000 0.5000 [1 per cell]
F: 0.0399 0.7767 0.2745 [2 per cell]
F: 0.2067 0.2093 0.4156 [2 per cell]
F: 0.2373 0.9170 0.7098 [2 per cell]

Main lines, low angle first (2θ = 5–70°):
Position (°2θ)	I (rel.)
12.80	1000
13.04	954
13.21	943
25.77	420
26.24	288
26.59	306
31.90	280
32.07	274

No. 2
This entry pairs a crystal structure of ErCu3Te3 with its theoretical powder diffraction line list. Radiation: a wavelength of 1.5418 Å. Structure: a cell relaxed with PBE.

Structural model:
Lattice parameters (Å, degrees): 12.7974 7.6263 6.9431 90.00 90.00 90.00
Space group Pmn2_1 (No. 31)
Inequivalent atoms, fractional coordinates:
Er: 0.1630 0.2491 0.0000 [4 per cell]
Cu: 0.0000 0.1161 0.3882 [2 per cell]
Cu: 0.0000 0.3821 0.6360 [2 per cell]
Cu: 0.1666 0.6165 0.1293 [4 per cell]
Cu: 0.1788 0.8774 0.8788 [4 per cell]
Te: 0.0000 0.0509 0.7592 [2 per cell]
Te: 0.0000 0.4408 0.2532 [2 per cell]
Te: 0.1618 0.9328 0.2653 [4 per cell]
Te: 0.1656 0.5643 0.7386 [4 per cell]

Main lines, low angle first (2θ = 5–70°):
Position (°2θ)	I (rel.)
24.49	749
27.18	831
34.95	651
35.35	645
41.35	1000
42.38	564
46.19	635
56.06	329